Starting from a structure optimized by DFT (GGA-PBE), the powder diffractogram of NaH3Au was calculated for copper Kα.
Neutral-atom scattering factors, no anomalous dispersion.

Main lines, low angle first (10 to 80 degrees two-theta):
(2 0 0), 2θ 18.19, intensity 100; (0 2 1), 2θ 26.61, intensity 67; (2 2 -1), 2θ 29.44, intensity 87; (0 0 2), 2θ 31.66, intensity 27; (2 2 1), 2θ 35.19, intensity 52; (4 0 0), 2θ 36.87, intensity 30

Structure:
a b c (Å): 10.2620 8.3164 5.9469
angles (deg): 90.00 108.13 90.00
Space group C2/c (No. 15)
Unique sites:
Na 0.0000 0.0815 0.2500
Na 0.0000 0.3854 0.7500
H 0.0781 0.1592 0.6170
H 0.0836 0.3449 0.2222
H 0.2462 0.4618 0.0649
Au 0.2486 0.1505 0.6930

Starting from a structure optimized by DFT (GGA-PBE), the powder diffractogram of Pu4P5Rh was calculated for copper Kα.
Neutral-atom scattering factors, no anomalous dispersion.

Main lines, low angle first (10 to 80 degrees two-theta):
(0 1 5), 2θ 27.93, intensity 97; (1 0 10), 2θ 32.91, intensity 100; (0 1 17), 2θ 43.23, intensity 24; (1 1 0), 2θ 46.02, intensity 49; (1 1 15), 2θ 55.76, intensity 24; (0 2 10), 2θ 57.73, intensity 20

Structure:
a b c (Å): 3.9447 3.9447 45.0135
angles (deg): 90.00 90.00 120.00
Space group R-3m (No. 166, hexagonal axes)
Unique sites:
Pu 0.0000 0.0000 0.1103
Pu 0.0000 0.0000 0.2970
P 0.0000 0.0000 0.0000
P 0.0000 0.0000 0.1892
P 0.0000 0.0000 0.4065
Rh 0.0000 0.0000 0.5000

Starting from a structure optimized by DFT (GGA-PBE), the powder diffractogram of Sm8YIr6 was calculated for copper Kα.
Neutral-atom scattering factors, no anomalous dispersion.

Main lines, low angle first (10 to 80 degrees two-theta):
(1 1 0), 2θ 21.08, intensity 25; (1 1 6), 2θ 36.28, intensity 100; (3 0 0), 2θ 36.94, intensity 90; (4 -2 6), 2θ 52.74, intensity 34; (2 -1 12), 2θ 64.82, intensity 19; (4 1 6), 2θ 66.13, intensity 35

Structure:
a b c (Å): 8.4287 8.4287 18.3632
angles (deg): 90.00 90.00 120.00
Space group R-3 (No. 148, hexagonal axes)
Unique sites:
Sm 0.0000 0.0000 0.1678
Sm 0.0022 0.3311 0.6119
Y 0.0000 0.0000 0.5000
Ir 0.0004 0.3343 0.1100

Starting from a structure optimized by DFT (GGA-PBE), the powder diffractogram of Lu2Mn17C3 was calculated for copper Kα.
Neutral-atom scattering factors, no anomalous dispersion.

Main lines, low angle first (10 to 80 degrees two-theta):
(1 1 2), 2θ 30.09, intensity 59; (3 0 0), 2θ 36.75, intensity 40; (2 0 3), 2θ 40.76, intensity 44; (2 2 0), 2θ 42.70, intensity 77; (3 0 2), 2θ 42.89, intensity 100; (0 0 4), 2θ 43.46, intensity 36

Structure:
a b c (Å): 8.4707 8.4707 8.3290
angles (deg): 90.00 90.00 120.00
Space group P6_3/mmc (No. 194)
Unique sites:
Lu 0.0000 0.0000 0.2500
Lu 0.3333 0.6667 0.2500
Mn 0.0000 0.5000 0.0000
Mn 0.0587 0.3861 0.7500
Mn 0.1718 0.3436 0.0245
Mn 0.3333 0.6667 0.6088
C 0.1635 0.3270 0.2500

Starting from a structure optimized by DFT (GGA-PBE), the powder diffractogram of Ho3GePb2 was calculated for copper Kα.
Neutral-atom scattering factors, no anomalous dispersion.

Main lines, low angle first (10 to 80 degrees two-theta):
(2 1 2), 2θ 29.01, intensity 48; (0 1 3), 2θ 30.43, intensity 100; (4 0 2), 2θ 31.86, intensity 36; (4 1 0), 2θ 34.92, intensity 32; (4 1 1), 2θ 35.75, intensity 44; (0 2 0), 2θ 41.50, intensity 47

Structure:
a b c (Å): 12.7335 4.3522 11.9324
angles (deg): 90.00 90.00 90.00
Space group Pnma (No. 62)
Unique sites:
Ho 0.0562 0.2500 0.1173
Ho 0.1142 0.7500 0.5438
Ho 0.2439 0.7500 0.2766
Ge 0.1192 0.2500 0.3719
Pb 0.0240 0.2500 0.7161
Pb 0.1862 0.7500 0.9968

Starting from a structure optimized by DFT (GGA-PBE), the powder diffractogram of AcAl12Pt4 was calculated for copper Kα.
Neutral-atom scattering factors, no anomalous dispersion.

Main lines, low angle first (10 to 80 degrees two-theta):
(2 0 0), 2θ 19.99, intensity 40; (2 2 0), 2θ 28.41, intensity 100; (4 0 0), 2θ 40.62, intensity 22; (4 2 0), 2θ 45.67, intensity 27; (4 2 2), 2θ 50.31, intensity 58; (6 0 2), 2θ 66.57, intensity 22

Structure:
a b c (Å): 8.8847 8.8847 8.8847
angles (deg): 90.00 90.00 90.00
Space group Im-3 (No. 204)
Unique sites:
Ac 0.0000 0.0000 0.0000
Al 0.0000 0.1699 0.3465
Pt 0.2500 0.2500 0.2500

Starting from a structure optimized by DFT (GGA-PBE), the powder diffractogram of Tb5Pm2Tm6 was calculated for copper Kα.
Neutral-atom scattering factors, no anomalous dispersion.

Main lines, low angle first (10 to 80 degrees two-theta):
(4 1 0), 2θ 31.16, intensity 61; (1 4 1), 2θ 31.76, intensity 47; (1 7 0), 2θ 32.05, intensity 98; (2 3 1), 2θ 32.41, intensity 100; (2 4 1), 2θ 34.54, intensity 41; (3 3 1), 2θ 36.86, intensity 32

Structure:
a b c (Å): 11.5983 20.1537 3.5551
angles (deg): 90.00 90.00 90.00
Space group Pbam (No. 55)
Unique sites:
Tb 0.0000 0.0000 0.0000
Tb 0.0898 0.2762 0.0000
Tb 0.2000 0.5500 0.0000
Pm 0.1689 0.7140 0.5000
Tm 0.0594 0.4211 0.5000
Tm 0.0789 0.1329 0.5000
Tm 0.1784 0.8701 0.0000

Starting from a structure optimized by DFT (GGA-PBE), the powder diffractogram of Cs3Na4Ag was calculated for copper Kα.
Neutral-atom scattering factors, no anomalous dispersion.

Main lines, low angle first (10 to 80 degrees two-theta):
(0 2 1), 2θ 15.84, intensity 69; (1 0 1), 2θ 16.20, intensity 100; (0 4 0), 2θ 22.91, intensity 73; (2 0 0), 2θ 23.91, intensity 70; (1 4 1), 2θ 28.19, intensity 81; (2 2 1), 2θ 28.81, intensity 70

Structure:
a b c (Å): 7.4424 15.5240 8.0732
angles (deg): 90.00 90.00 90.00
Space group Pmmn (No. 59, origin choice 2)
Unique sites:
Cs 0.2500 0.0139 0.1902
Cs 0.2500 0.7500 0.5435
Na 0.0039 0.2500 0.9886
Na 0.2500 0.1364 0.6497
Ag 0.2500 0.2500 0.3160